Starting from a cell relaxed with PBE+U, the powder XRD pattern of FeC2O6 was calculated for Cu Kα.

Structure:
Lattice parameters (Å, degrees): 4.7868 4.7868 16.9300 90.00 90.00 120.00
Space group R-3 (No. 148, hexagonal axes)
Inequivalent atoms, fractional coordinates:
1 Fe 0.0000 0.0000 0.0000 [3 per cell]
2 C 0.0000 0.0000 0.2655 [6 per cell]
3 O 0.0387 0.7527 0.7351 [18 per cell]

Principal peaks in the range 10 to 80 degrees two-theta, in order of rising 2θ:
2θ (°)	I (rel.)
15.70	100
22.08	58
30.18	74
40.96	37
43.31	14
45.03	9
48.28	11
49.97	19
51.71	10
59.22	11
60.05	7
62.81	12